[1]
Diffraction record for TbPm3Sn6. The powder diffractogram is computed, not measured: it uses DFT lattice parameters and positions (GGA-PBE) and Cu Kα, 1.54184 Å.

Largest 8 diffraction maxima, sorted by position, 2θ = 10–90°:
| d (Å) | Rel. int. |
| --- | --- |
| 3.503 | 41 |
| 3.262 | 67 |
| 2.931 | 65 |
| 2.913 | 89 |
| 2.813 | 100 |
| 2.669 | 39 |
| 2.531 | 66 |
| 2.334 | 54 |

Cell and atoms:
Lattice parameters (Å, degrees): 7.364 9.594 10.577 90.00 128.44 90.00
Atoms (fractional coordinates):
Tb 0.000 0.000 0.000
Tb 0.000 0.500 0.500
Pm 0.239 0.099 0.706
Pm 0.239 0.401 0.206
Pm 0.500 0.000 0.500
Pm 0.500 0.500 0.000
Pm 0.761 0.599 0.794
Pm 0.761 0.901 0.294
Sn 0.002 0.184 0.298
Sn 0.002 0.316 0.798
Sn 0.276 0.731 0.073
Sn 0.276 0.769 0.573
Sn 0.434 0.169 0.073
Sn 0.434 0.331 0.573
Sn 0.566 0.669 0.427
Sn 0.566 0.831 0.927
Sn 0.724 0.231 0.427
Sn 0.724 0.269 0.927
Sn 0.998 0.684 0.202
Sn 0.998 0.816 0.702

[2]
Diffraction record for TbPm6Sn. The powder diffractogram is computed, not measured: it uses DFT lattice parameters and positions (GGA-PBE) and Cu Kα, 1.54184 Å.

Largest 8 diffraction maxima, sorted by position, 2θ = 10–90°:
| d (Å) | Rel. int. |
| --- | --- |
| 2.904 | 100 |
| 2.574 | 18 |
| 2.487 | 33 |
| 1.789 | 24 |
| 1.759 | 12 |
| 1.542 | 14 |
| 1.504 | 28 |
| 1.452 | 12 |

Cell and atoms:
Lattice parameters (Å, degrees): 4.975 4.975 10.295 90.00 90.00 90.00
Atoms (fractional coordinates):
Tb 0.000 0.000 0.000
Pm 0.000 0.500 0.259
Pm 0.000 0.500 0.741
Pm 0.500 0.000 0.259
Pm 0.500 0.000 0.741
Pm 0.500 0.500 0.000
Pm 0.500 0.500 0.500
Sn 0.000 0.000 0.500

Please write out number 1 again, unchanged.
Diffraction record for TbPm3Sn6. The powder diffractogram is computed, not measured: it uses DFT lattice parameters and positions (GGA-PBE) and Cu Kα, 1.54184 Å.

Largest 8 diffraction maxima, sorted by position, 2θ = 10–90°:
| d (Å) | Rel. int. |
| --- | --- |
| 3.503 | 41 |
| 3.262 | 67 |
| 2.931 | 65 |
| 2.913 | 89 |
| 2.813 | 100 |
| 2.669 | 39 |
| 2.531 | 66 |
| 2.334 | 54 |

Cell and atoms:
Lattice parameters (Å, degrees): 7.364 9.594 10.577 90.00 128.44 90.00
Atoms (fractional coordinates):
Tb 0.000 0.000 0.000
Tb 0.000 0.500 0.500
Pm 0.239 0.099 0.706
Pm 0.239 0.401 0.206
Pm 0.500 0.000 0.500
Pm 0.500 0.500 0.000
Pm 0.761 0.599 0.794
Pm 0.761 0.901 0.294
Sn 0.002 0.184 0.298
Sn 0.002 0.316 0.798
Sn 0.276 0.731 0.073
Sn 0.276 0.769 0.573
Sn 0.434 0.169 0.073
Sn 0.434 0.331 0.573
Sn 0.566 0.669 0.427
Sn 0.566 0.831 0.927
Sn 0.724 0.231 0.427
Sn 0.724 0.269 0.927
Sn 0.998 0.684 0.202
Sn 0.998 0.816 0.702